(1)
Computed powder diffraction line list of HoTmAu4 for CuKα, from a crystal structure in Alexandria, relaxed with GGA-PBE.
Neutral-atom scattering factors, no anomalous dispersion.

Main lines, by angle (2θ from 10° to 90°):
- 2θ 34.1, intensity 69
- 2θ 38.5, intensity 100
- 2θ 49.0, intensity 25
- 2θ 61.6, intensity 6
- 2θ 63.9, intensity 23
- 2θ 64.0, intensity 23
- 2θ 72.3, intensity 16
- 2θ 81.9, intensity 6
- 2θ 82.4, intensity 12
- 2θ 84.5, intensity 11

Cell and atoms:
Lattice parameters (Å, degrees): 5.2267 5.2267 5.2519 90.00 90.00 119.52
Positions (direct):
Ho1 0.0000 0.0000 0.0000
Tm1 0.5000 0.5000 0.5000
Au1 0.1648 0.8352 0.5000
Au2 0.3361 0.6639 0.0000
Au3 0.6639 0.3361 0.0000
Au4 0.8352 0.1648 0.5000


(2)
Computed powder diffraction line list of Ho2Zn5Au5 for CuKα, from a crystal structure in Alexandria, relaxed with GGA-PBE.
Neutral-atom scattering factors, no anomalous dispersion.

Main lines, by angle (2θ from 10° to 90°):
- 2θ 19.5, intensity 23
- 2θ 33.3, intensity 28
- 2θ 34.1, intensity 23
- 2θ 38.9, intensity 100
- 2θ 39.6, intensity 67
- 2θ 44.2, intensity 17
- 2θ 52.7, intensity 16
- 2θ 64.3, intensity 23
- 2θ 71.4, intensity 17
- 2θ 83.5, intensity 16

Cell and atoms:
Lattice parameters (Å, degrees): 4.5462 5.2526 9.4010 90.00 90.00 90.00
Positions (direct):
Ho1 0.0000 0.0000 0.0000
Ho2 0.0000 0.5000 0.5000
Zn1 0.5000 0.0000 0.5000
Zn2 0.5000 0.2499 0.2536
Zn3 0.5000 0.2499 0.7464
Zn4 0.5000 0.7501 0.2536
Zn5 0.5000 0.7501 0.7464
Au1 0.0000 0.0000 0.3346
Au2 0.0000 0.0000 0.6654
Au3 0.0000 0.5000 0.1797
Au4 0.0000 0.5000 0.8203
Au5 0.5000 0.5000 0.0000


(3)
Computed powder diffraction line list of HoZn4Au8 for CuKα, from a crystal structure in Alexandria, relaxed with GGA-PBE.
Neutral-atom scattering factors, no anomalous dispersion.

Main lines, by angle (2θ from 10° to 90°):
- 2θ 27.2, intensity 35
- 2θ 32.9, intensity 47
- 2θ 33.4, intensity 53
- 2θ 38.4, intensity 26
- 2θ 38.8, intensity 100
- 2θ 38.9, intensity 51
- 2θ 43.3, intensity 69
- 2θ 43.6, intensity 24
- 2θ 62.7, intensity 25
- 2θ 70.3, intensity 35

Cell and atoms:
Lattice parameters (Å, degrees): 7.0912 7.0912 7.0912 98.45 98.45 134.91
Positions (direct):
Ho1 0.0000 0.0000 0.0000
Zn1 0.0000 0.0000 0.5000
Zn2 0.0000 0.5000 0.0000
Zn3 0.5000 0.0000 0.0000
Zn4 0.5000 0.5000 0.5000
Au1 0.0000 0.3296 0.3296
Au2 0.0000 0.6704 0.6704
Au3 0.2828 0.5000 0.7828
Au4 0.3296 0.0000 0.3296
Au5 0.5000 0.2828 0.7828
Au6 0.5000 0.7172 0.2172
Au7 0.6704 0.0000 0.6704
Au8 0.7172 0.5000 0.2172